Entry 1:
Starting from a GGA-PBE-relaxed structure, the XRD peak list of Ba2InIrO6 was calculated for Cu Kα (weighted mean of Kα1 and Kα2).
Neutral-atom scattering factors, no anomalous dispersion.

Largest 12 diffraction maxima, sorted by position, 5 to 70 degrees two-theta:
18.26°, rel. 17; 24.99°, rel. 10; 29.70°, rel. 68; 30.11°, rel. 100; 34.92°, rel. 18; 42.81°, rel. 36; 46.35°, rel. 9; 46.76°, rel. 11; 53.22°, rel. 27; 53.47°, rel. 20; 56.62°, rel. 10; 62.59°, rel. 18

a = 5.936 Å, b = 5.936 Å, c = 14.833 Å
α = 90.00°, β = 90.00°, γ = 120.00°
Positions (direct):
Ba 0.000 0.000 0.248
Ba 0.000 0.000 0.752
Ba 0.333 0.667 0.096
Ba 0.333 0.667 0.410
Ba 0.667 0.333 0.590
Ba 0.667 0.333 0.904
In 0.000 0.000 0.000
In 0.333 0.667 0.653
In 0.667 0.333 0.347
Ir 0.000 0.000 0.500
Ir 0.333 0.667 0.843
Ir 0.667 0.333 0.157
O 0.026 0.513 0.758
O 0.158 0.315 0.578
O 0.158 0.842 0.578
O 0.170 0.341 0.915
O 0.170 0.830 0.915
O 0.315 0.158 0.422
O 0.341 0.170 0.085
O 0.487 0.513 0.758
O 0.487 0.974 0.758
O 0.513 0.026 0.242
O 0.513 0.487 0.242
O 0.659 0.830 0.915
O 0.685 0.842 0.578
O 0.830 0.170 0.085
O 0.830 0.659 0.085
O 0.842 0.158 0.422
O 0.842 0.685 0.422
O 0.974 0.487 0.242

Entry 2:
Starting from a GGA-PBE-relaxed structure, the XRD peak list of KZr2As3O12 was calculated for Cu Kα (weighted mean of Kα1 and Kα2).
Neutral-atom scattering factors, no anomalous dispersion.

Largest 12 diffraction maxima, sorted by position, 5 to 70 degrees two-theta:
13.13°, rel. 18; 18.03°, rel. 15; 19.18°, rel. 25; 21.99°, rel. 100; 26.44°, rel. 28; 28.88°, rel. 72; 29.71°, rel. 14; 33.55°, rel. 33; 37.85°, rel. 15; 44.84°, rel. 23; 55.38°, rel. 10; 57.15°, rel. 11

a = 9.880 Å, b = 9.880 Å, c = 9.880 Å
α = 55.85°, β = 55.85°, γ = 55.85°
Positions (direct):
K 0.000 0.000 0.000
K 0.500 0.500 0.500
Zr 0.148 0.148 0.148
Zr 0.352 0.352 0.352
Zr 0.648 0.648 0.648
Zr 0.852 0.852 0.852
As 0.034 0.750 0.466
As 0.250 0.534 0.966
As 0.466 0.034 0.750
As 0.534 0.966 0.250
As 0.750 0.466 0.034
As 0.966 0.250 0.534
O 0.011 0.761 0.645
O 0.067 0.932 0.285
O 0.068 0.715 0.933
O 0.145 0.261 0.511
O 0.215 0.568 0.433
O 0.239 0.355 0.989
O 0.261 0.511 0.145
O 0.285 0.067 0.932
O 0.355 0.989 0.239
O 0.432 0.567 0.785
O 0.433 0.215 0.568
O 0.489 0.855 0.739
O 0.511 0.145 0.261
O 0.567 0.785 0.432
O 0.568 0.433 0.215
O 0.645 0.011 0.761
O 0.715 0.933 0.068
O 0.739 0.489 0.855
O 0.761 0.645 0.011
O 0.785 0.432 0.567
O 0.855 0.739 0.489
O 0.932 0.285 0.067
O 0.933 0.068 0.715
O 0.989 0.239 0.355

Entry 3:
Starting from a GGA-PBE-relaxed structure, the XRD peak list of LiTiH6O2F6 was calculated for Cu Kα (weighted mean of Kα1 and Kα2).
Neutral-atom scattering factors, no anomalous dispersion.

Largest 12 diffraction maxima, sorted by position, 5 to 70 degrees two-theta:
15.78°, rel. 9; 16.68°, rel. 100; 23.04°, rel. 64; 29.11°, rel. 39; 31.87°, rel. 10; 37.45°, rel. 15; 43.70°, rel. 26; 45.14°, rel. 14; 47.09°, rel. 21; 48.12°, rel. 9; 51.60°, rel. 9; 56.32°, rel. 35

a = 6.136 Å, b = 6.136 Å, c = 5.615 Å
α = 90.00°, β = 90.00°, γ = 120.00°
Positions (direct):
Li 0.000 0.000 0.000
Ti 0.000 0.000 0.500
H 0.186 0.493 0.776
H 0.307 0.814 0.776
H 0.493 0.186 0.224
H 0.507 0.693 0.776
H 0.693 0.507 0.224
H 0.814 0.307 0.224
O 0.333 0.667 0.823
O 0.667 0.333 0.177
F 0.012 0.250 0.266
F 0.238 0.988 0.266
F 0.250 0.012 0.734
F 0.750 0.762 0.266
F 0.762 0.750 0.734
F 0.988 0.238 0.734

Entry 4:
Starting from a GGA-PBE-relaxed structure, the XRD peak list of MgAgF5 was calculated for Cu Kα (weighted mean of Kα1 and Kα2).
Neutral-atom scattering factors, no anomalous dispersion.

Largest 12 diffraction maxima, sorted by position, 5 to 70 degrees two-theta:
17.77°, rel. 45; 18.14°, rel. 18; 20.22°, rel. 74; 25.25°, rel. 100; 25.50°, rel. 85; 25.80°, rel. 67; 32.54°, rel. 20; 36.00°, rel. 32; 45.01°, rel. 19; 46.06°, rel. 35; 50.92°, rel. 24; 51.83°, rel. 52

a = 5.226 Å, b = 9.985 Å, c = 8.061 Å
α = 90.00°, β = 110.70°, γ = 90.00°
Positions (direct):
Mg 0.026 0.008 0.241
Mg 0.026 0.492 0.741
Mg 0.974 0.508 0.259
Mg 0.974 0.992 0.759
Ag 0.386 0.247 0.609
Ag 0.386 0.253 0.109
Ag 0.614 0.747 0.891
Ag 0.614 0.753 0.391
F 0.070 0.112 0.589
F 0.070 0.388 0.089
F 0.131 0.098 0.995
F 0.131 0.402 0.495
F 0.285 0.630 0.350
F 0.285 0.870 0.850
F 0.301 0.160 0.339
F 0.301 0.340 0.839
F 0.366 0.594 0.776
F 0.366 0.906 0.276
F 0.634 0.094 0.724
F 0.634 0.406 0.224
F 0.699 0.660 0.161
F 0.699 0.840 0.661
F 0.715 0.130 0.150
F 0.715 0.370 0.650
F 0.869 0.598 0.505
F 0.869 0.902 0.005
F 0.930 0.612 0.911
F 0.930 0.888 0.411

Entry 5:
Starting from a GGA-PBE-relaxed structure, the XRD peak list of YCu2Si2 was calculated for Cu Kα (weighted mean of Kα1 and Kα2).
Neutral-atom scattering factors, no anomalous dispersion.

Largest 12 diffraction maxima, sorted by position, 5 to 70 degrees two-theta:
17.76°, rel. 5; 24.14°, rel. 12; 35.19°, rel. 32; 35.97°, rel. 14; 36.74°, rel. 100; 45.74°, rel. 39; 48.83°, rel. 8; 51.20°, rel. 13; 58.99°, rel. 14; 59.52°, rel. 12; 65.17°, rel. 14; 66.67°, rel. 12

a = 5.728 Å, b = 5.728 Å, c = 5.728 Å
α = 139.47°, β = 139.47°, γ = 58.66°
Positions (direct):
Y 0.000 0.000 0.000
Cu 0.250 0.750 0.500
Cu 0.750 0.250 0.500
Si 0.382 0.382 0.000
Si 0.618 0.618 0.000

Entry 6:
Starting from a GGA-PBE-relaxed structure, the XRD peak list of UMn2Si2 was calculated for Cu Kα (weighted mean of Kα1 and Kα2).
Neutral-atom scattering factors, no anomalous dispersion.

Largest 12 diffraction maxima, sorted by position, 5 to 70 degrees two-theta:
17.26°, rel. 18; 24.59°, rel. 79; 32.74°, rel. 17; 34.98°, rel. 87; 37.24°, rel. 100; 46.98°, rel. 34; 50.28°, rel. 27; 53.73°, rel. 21; 59.89°, rel. 46; 64.17°, rel. 17; 68.37°, rel. 6; 68.62°, rel. 11

a = 5.819 Å, b = 5.819 Å, c = 5.819 Å
α = 141.17°, β = 141.17°, γ = 56.08°
Positions (direct):
U 0.000 0.000 0.000
Mn 0.250 0.750 0.500
Mn 0.750 0.250 0.500
Si 0.384 0.384 0.000
Si 0.616 0.616 0.000

Question: What is the formula in the fourth record?
Answer: MgAgF5

Question: What is the formula in the first record?
Answer: Ba2InIrO6

Question: What is the formula in the fifth record?
Answer: YCu2Si2